This entry pairs a crystal structure of RbAg3Cl8 with its simulated X-ray diffraction stick pattern. Radiation: Cu Kα. Structure: a GGA-PBE-relaxed structure.
Intensities are scaled so that the largest is 100.

Main lines, by angle (2θ = 10–90°):
| 2θ (°) | intensity |
| --- | --- |
| 18.41 | 100.0 |
| 25.67 | 84.0 |
| 26.61 | 88.3 |
| 32.55 | 31.6 |
| 37.31 | 44.1 |
| 46.41 | 42.4 |
| 46.98 | 50.8 |
| 50.18 | 51.8 |

Crystal structure
abc: 6.700 6.700 8.659
angles: 90.00 90.00 120.00
Fractional positions:
Rb1 0.000 0.000 0.000
Ag1 0.000 0.000 0.500
Ag2 0.333 0.667 0.731
Ag3 0.667 0.333 0.269
Cl1 0.018 0.307 0.328
Cl2 0.289 0.982 0.328
Cl3 0.307 0.289 0.672
Cl4 0.333 0.667 0.012
Cl5 0.667 0.333 0.988
Cl6 0.693 0.711 0.328
Cl7 0.711 0.018 0.672
Cl8 0.982 0.693 0.672

This entry pairs a crystal structure of Cs3Br3F with its simulated X-ray diffraction stick pattern. Radiation: Cu Kα. Structure: a GGA-PBE-relaxed structure.
Intensities are scaled so that the largest is 100.

Main lines, by angle (2θ = 10–90°):
| 2θ (°) | intensity |
| --- | --- |
| 24.01 | 100.0 |
| 24.62 | 15.5 |
| 27.48 | 18.6 |
| 27.83 | 14.9 |
| 31.68 | 19.6 |
| 31.96 | 14.3 |
| 32.81 | 17.7 |
| 36.60 | 18.0 |

Crystal structure
abc: 8.891 8.891 8.564
angles: 97.87 97.87 111.87
Fractional positions:
Cs1 0.066 0.415 0.751
Cs2 0.139 0.139 0.314
Cs3 0.415 0.066 0.751
Cs4 0.585 0.934 0.249
Cs5 0.861 0.861 0.686
Cs6 0.934 0.585 0.249
Br1 0.175 0.825 0.000
Br2 0.351 0.649 0.500
Br3 0.483 0.483 0.134
Br4 0.517 0.517 0.866
Br5 0.649 0.351 0.500
Br6 0.825 0.175 0.000
F1 0.140 0.140 0.650
F2 0.860 0.860 0.350

This entry pairs a crystal structure of Al4Cd2Ag9 with its simulated X-ray diffraction stick pattern. Radiation: Cu Kα. Structure: a GGA-PBE-relaxed structure.
Intensities are scaled so that the largest is 100.

Main lines, by angle (2θ = 10–90°):
| 2θ (°) | intensity |
| --- | --- |
| 23.20 | 27.3 |
| 38.08 | 100.0 |
| 39.30 | 94.2 |
| 43.39 | 9.8 |
| 55.87 | 31.1 |
| 67.99 | 13.7 |
| 70.44 | 31.6 |
| 71.24 | 15.1 |

Crystal structure
abc: 4.585 4.585 14.704
angles: 90.00 90.00 120.00
Fractional positions:
Al1 0.333 0.667 0.150
Al2 0.333 0.667 0.376
Al3 0.667 0.333 0.624
Al4 0.667 0.333 0.850
Cd1 0.333 0.667 0.770
Cd2 0.667 0.333 0.230
Ag1 0.000 0.000 0.109
Ag2 0.000 0.000 0.310
Ag3 0.000 0.000 0.500
Ag4 0.000 0.000 0.690
Ag5 0.000 0.000 0.891
Ag6 0.333 0.667 0.574
Ag7 0.333 0.667 0.967
Ag8 0.667 0.333 0.033
Ag9 0.667 0.333 0.426

This entry pairs a crystal structure of CsSnPS4 with its simulated X-ray diffraction stick pattern. Radiation: Cu Kα. Structure: a GGA-PBE-relaxed structure.
Intensities are scaled so that the largest is 100.

Main lines, by angle (2θ = 10–90°):
| 2θ (°) | intensity |
| --- | --- |
| 19.34 | 82.4 |
| 21.12 | 47.0 |
| 23.80 | 51.7 |
| 26.20 | 79.4 |
| 27.94 | 46.1 |
| 28.71 | 100.0 |
| 32.86 | 62.2 |
| 39.25 | 87.7 |

Crystal structure
abc: 18.228 6.803 6.617
angles: 90.00 90.00 90.00
Fractional positions:
Cs1 0.213 0.250 0.014
Cs2 0.287 0.750 0.514
Cs3 0.713 0.250 0.486
Cs4 0.787 0.750 0.986
Sn1 0.013 0.750 0.274
Sn2 0.487 0.250 0.774
Sn3 0.513 0.750 0.226
Sn4 0.987 0.250 0.726
P1 0.088 0.750 0.790
P2 0.412 0.250 0.290
P3 0.588 0.750 0.710
P4 0.912 0.250 0.210
S1 0.022 0.250 0.133
S2 0.109 0.506 0.616
S3 0.109 0.994 0.616
S4 0.152 0.750 0.044
S5 0.348 0.250 0.544
S6 0.391 0.006 0.116
S7 0.391 0.494 0.116
S8 0.478 0.750 0.633
S9 0.522 0.250 0.367
S10 0.609 0.506 0.884
S11 0.609 0.994 0.884
S12 0.652 0.750 0.456
S13 0.848 0.250 0.956
S14 0.891 0.006 0.384
S15 0.891 0.494 0.384
S16 0.978 0.750 0.867

This entry pairs a crystal structure of Pm4Pr2Tm5 with its simulated X-ray diffraction stick pattern. Radiation: Cu Kα. Structure: a GGA-PBE-relaxed structure.
Intensities are scaled so that the largest is 100.

Main lines, by angle (2θ = 10–90°):
| 2θ (°) | intensity |
| --- | --- |
| 28.96 | 33.5 |
| 30.79 | 26.3 |
| 30.96 | 69.0 |
| 31.99 | 100.0 |
| 32.17 | 53.9 |
| 32.48 | 47.5 |
| 32.96 | 18.3 |
| 49.17 | 18.0 |

Crystal structure
abc: 3.586 8.633 11.808
angles: 89.58 83.47 89.56
Fractional positions:
Pm1 0.010 0.205 0.472
Pm2 0.117 0.254 0.179
Pm3 0.883 0.746 0.821
Pm4 0.990 0.795 0.528
Pr1 0.149 0.650 0.100
Pr2 0.851 0.350 0.900
Tm1 0.409 0.073 0.715
Tm2 0.454 0.473 0.648
Tm3 0.500 0.000 0.000
Tm4 0.546 0.527 0.352
Tm5 0.591 0.927 0.285

This entry pairs a crystal structure of Dy6NiRu2 with its simulated X-ray diffraction stick pattern. Radiation: Cu Kα. Structure: a GGA-PBE-relaxed structure.
Intensities are scaled so that the largest is 100.

Main lines, by angle (2θ = 10–90°):
| 2θ (°) | intensity |
| --- | --- |
| 29.60 | 49.8 |
| 30.15 | 75.8 |
| 30.82 | 54.5 |
| 31.30 | 77.7 |
| 31.87 | 70.4 |
| 32.00 | 56.0 |
| 33.64 | 100.0 |
| 39.26 | 52.8 |

Crystal structure
abc: 6.479 7.362 11.292
angles: 90.00 123.42 90.00
Fractional positions:
Dy1 0.088 0.048 0.243
Dy2 0.088 0.452 0.743
Dy3 0.228 0.674 0.070
Dy4 0.228 0.826 0.570
Dy5 0.398 0.174 0.067
Dy6 0.398 0.326 0.567
Dy7 0.602 0.674 0.433
Dy8 0.602 0.826 0.933
Dy9 0.772 0.174 0.430
Dy10 0.772 0.326 0.930
Dy11 0.912 0.548 0.257
Dy12 0.912 0.952 0.757
Ni1 0.500 0.000 0.500
Ni2 0.500 0.500 0.000
Ru1 0.302 0.117 0.762
Ru2 0.302 0.383 0.262
Ru3 0.698 0.617 0.738
Ru4 0.698 0.883 0.238

This entry pairs a crystal structure of Pm4Pr3HoSe8 with its simulated X-ray diffraction stick pattern. Radiation: Cu Kα. Structure: a GGA-PBE-relaxed structure.
Intensities are scaled so that the largest is 100.

Main lines, by angle (2θ = 10–90°):
| 2θ (°) | intensity |
| --- | --- |
| 25.93 | 16.8 |
| 30.03 | 100.0 |
| 42.93 | 37.3 |
| 43.04 | 37.2 |
| 53.28 | 19.7 |
| 70.73 | 16.7 |
| 70.88 | 16.7 |
| 78.72 | 18.7 |

Crystal structure
abc: 8.406 8.406 8.406
angles: 60.16 60.16 60.16
Fractional positions:
Pm1 0.000 0.000 0.000
Pm2 0.000 0.500 0.500
Pm3 0.500 0.000 0.500
Pm4 0.500 0.500 0.000
Pr1 0.000 0.000 0.500
Pr2 0.000 0.500 0.000
Pr3 0.500 0.000 0.000
Ho1 0.500 0.500 0.500
Se1 0.252 0.252 0.252
Se2 0.255 0.255 0.741
Se3 0.255 0.741 0.255
Se4 0.259 0.745 0.745
Se5 0.741 0.255 0.255
Se6 0.745 0.259 0.745
Se7 0.745 0.745 0.259
Se8 0.748 0.748 0.748

This entry pairs a crystal structure of ErTiFe11 with its simulated X-ray diffraction stick pattern. Radiation: Cu Kα. Structure: a GGA-PBE-relaxed structure.
Intensities are scaled so that the largest is 100.

Main lines, by angle (2θ = 10–90°):
| 2θ (°) | intensity |
| --- | --- |
| 37.08 | 30.2 |
| 37.36 | 36.3 |
| 42.60 | 45.7 |
| 43.06 | 100.0 |
| 43.21 | 82.6 |
| 44.03 | 51.1 |
| 44.14 | 47.8 |
| 49.33 | 30.9 |

Crystal structure
abc: 6.420 6.420 6.420
angles: 137.03 98.21 97.21
Fractional positions:
Er1 0.000 0.000 0.000
Ti1 0.625 0.625 0.000
Fe1 0.208 0.493 0.715
Fe2 0.225 0.725 0.500
Fe3 0.348 0.348 0.000
Fe4 0.349 0.994 0.355
Fe5 0.494 0.495 0.499
Fe6 0.494 0.996 0.000
Fe7 0.639 0.994 0.645
Fe8 0.767 0.267 0.500
Fe9 0.779 0.493 0.285
Fe10 0.996 0.495 0.000
Fe11 0.996 0.996 0.501

This entry pairs a crystal structure of Nb3Te4S2 with its simulated X-ray diffraction stick pattern. Radiation: Cu Kα. Structure: a GGA-PBE-relaxed structure.
Intensities are scaled so that the largest is 100.

Main lines, by angle (2θ = 10–90°):
| 2θ (°) | intensity |
| --- | --- |
| 10.07 | 29.6 |
| 29.15 | 54.2 |
| 33.85 | 18.1 |
| 35.74 | 100.0 |
| 40.21 | 18.7 |
| 42.73 | 19.9 |
| 51.68 | 29.2 |
| 64.42 | 17.4 |

Crystal structure
abc: 3.537 3.537 26.344
angles: 90.00 90.00 120.00
Fractional positions:
Nb1 0.000 0.000 0.000
Nb2 0.333 0.667 0.261
Nb3 0.333 0.667 0.739
Te1 0.000 0.000 0.188
Te2 0.000 0.000 0.334
Te3 0.000 0.000 0.666
Te4 0.000 0.000 0.812
S1 0.333 0.667 0.057
S2 0.333 0.667 0.943

This entry pairs a crystal structure of Mo2Pt2Rh7 with its simulated X-ray diffraction stick pattern. Radiation: Cu Kα. Structure: a GGA-PBE-relaxed structure.
Intensities are scaled so that the largest is 100.

Main lines, by angle (2θ = 10–90°):
| 2θ (°) | intensity |
| --- | --- |
| 36.68 | 37.5 |
| 40.28 | 100.0 |
| 41.39 | 62.7 |
| 42.21 | 29.4 |
| 42.62 | 49.9 |
| 43.46 | 52.9 |
| 45.03 | 36.0 |
| 45.53 | 37.1 |

Crystal structure
abc: 4.632 6.344 6.455
angles: 78.37 69.13 75.33
Fractional positions:
Mo1 0.206 0.272 0.236
Mo2 0.794 0.728 0.764
Pt1 0.158 0.828 0.332
Pt2 0.842 0.172 0.668
Rh1 0.244 0.628 0.955
Rh2 0.255 0.425 0.606
Rh3 0.266 0.066 0.917
Rh4 0.500 0.000 0.500
Rh5 0.734 0.934 0.083
Rh6 0.745 0.575 0.394
Rh7 0.756 0.372 0.045

This entry pairs a crystal structure of Nd3Ho3Tm2 with its simulated X-ray diffraction stick pattern. Radiation: Cu Kα. Structure: a GGA-PBE-relaxed structure.
Intensities are scaled so that the largest is 100.

Main lines, by angle (2θ = 10–90°):
| 2θ (°) | intensity |
| --- | --- |
| 29.86 | 42.1 |
| 31.42 | 59.3 |
| 31.63 | 100.0 |
| 32.11 | 98.4 |
| 34.24 | 22.1 |
| 43.89 | 29.6 |
| 56.07 | 19.9 |
| 56.37 | 20.1 |

Crystal structure
abc: 8.653 8.653 5.987
angles: 109.10 109.10 38.43
Fractional positions:
Nd1 0.000 0.000 0.000
Nd2 0.136 0.136 0.698
Nd3 0.864 0.864 0.302
Ho1 0.367 0.367 0.918
Ho2 0.500 0.500 0.500
Ho3 0.633 0.633 0.082
Tm1 0.250 0.250 0.318
Tm2 0.750 0.750 0.682

This entry pairs a crystal structure of La2TeCl2 with its simulated X-ray diffraction stick pattern. Radiation: Cu Kα. Structure: a GGA-PBE-relaxed structure.
Intensities are scaled so that the largest is 100.

Main lines, by angle (2θ = 10–90°):
| 2θ (°) | intensity |
| --- | --- |
| 25.04 | 25.6 |
| 25.14 | 49.9 |
| 29.35 | 51.5 |
| 29.52 | 100.0 |
| 35.58 | 30.6 |
| 41.27 | 61.6 |
| 42.94 | 32.9 |
| 51.47 | 20.6 |

Crystal structure
abc: 4.376 4.376 10.113
angles: 90.35 90.35 59.95
Fractional positions:
La1 0.169 0.169 0.187
La2 0.831 0.831 0.813
Te1 0.500 0.500 0.000
Cl1 0.163 0.163 0.657
Cl2 0.837 0.837 0.343